Y2C3: computed PXRD pattern (CuKα), based on DFT lattice parameters and positions (GGA-PBE).

Structure:
Lattice parameters (Å, degrees): 7.157 7.157 7.157 109.47 109.47 109.47
Positions (direct):
Y 0.000 0.101 0.500
Y 0.000 0.601 0.500
Y 0.101 0.500 0.000
Y 0.399 0.399 0.399
Y 0.500 0.000 0.101
Y 0.500 0.000 0.601
Y 0.601 0.500 0.000
Y 0.899 0.899 0.899
C 0.044 0.794 0.250
C 0.206 0.956 0.250
C 0.250 0.044 0.794
C 0.250 0.206 0.956
C 0.294 0.544 0.750
C 0.456 0.706 0.750
C 0.544 0.750 0.294
C 0.706 0.750 0.456
C 0.750 0.294 0.544
C 0.750 0.456 0.706
C 0.794 0.250 0.044
C 0.956 0.250 0.206

Peak list (12 most intense, 10 to 80 degrees two-theta, by angle)
2θ (°), Rel. int.
26.42, 344
30.60, 877
34.31, 1000
40.86, 528
43.82, 83
51.89, 263
54.39, 138
56.80, 594
61.45, 226
70.20, 96
74.39, 168
78.50, 70